This entry pairs a crystal structure of Sr2Si3Pt12Au with its calculated powder XRD pattern. Radiation: Cu Kα X-rays. Structure: a DFT-relaxed cell (GGA-PBE, Alexandria).

Crystal structure
Unit cell a=7.829 b=7.829 c=7.829 alpha=63.95 beta=63.95 gamma=63.95
Fractional positions:
Sr (0.108, 0.108, 0.108)
Sr (0.892, 0.892, 0.892)
Si (0.000, 0.500, 0.500)
Si (0.500, 0.000, 0.500)
Si (0.500, 0.500, 0.000)
Pt (0.114, 0.630, 0.630)
Pt (0.150, 0.150, 0.596)
Pt (0.150, 0.596, 0.150)
Pt (0.370, 0.370, 0.886)
Pt (0.370, 0.886, 0.370)
Pt (0.404, 0.850, 0.850)
Pt (0.596, 0.150, 0.150)
Pt (0.630, 0.114, 0.630)
Pt (0.630, 0.630, 0.114)
Pt (0.850, 0.404, 0.850)
Pt (0.850, 0.850, 0.404)
Pt (0.886, 0.370, 0.370)
Au (0.500, 0.500, 0.500)

The 10 most intense peaks (10° ≤ 2θ ≤ 90°), low angle first:
d [Å]	2theta	I/Imax
3.901	22.8	28
2.841	31.5	100
2.605	34.4	16
2.344	38.4	17
2.073	43.7	62
1.950	46.6	51
1.675	54.8	18
1.420	65.7	21
1.303	72.6	13
1.172	82.3	19

=====

This entry pairs a crystal structure of TbSi2Pt7Au with its calculated powder XRD pattern. Radiation: Cu Kα X-rays. Structure: a DFT-relaxed cell (GGA-PBE, Alexandria).

Crystal structure
Unit cell a=14.901 b=14.901 c=14.901 alpha=164.41 beta=164.41 gamma=22.12
Fractional positions:
Tb (0.000, 0.000, 0.000)
Si (0.381, 0.381, 0.000)
Si (0.619, 0.619, 0.000)
Pt (0.074, 0.574, 0.500)
Pt (0.306, 0.306, 0.000)
Pt (0.426, 0.926, 0.500)
Pt (0.500, 0.500, 0.000)
Pt (0.575, 0.075, 0.500)
Pt (0.694, 0.694, 0.000)
Pt (0.925, 0.425, 0.500)
Au (0.750, 0.250, 0.500)

The 10 most intense peaks (10° ≤ 2θ ≤ 90°), low angle first:
d [Å]	2theta	I/Imax
7.312	12.1	16
4.875	18.2	10
4.004	22.2	14
3.734	23.8	21
3.326	26.8	18
2.466	36.4	100
2.044	44.3	24
2.021	44.8	41
1.429	65.3	14
1.237	77.1	23

=====

This entry pairs a crystal structure of ThSi2Pt7Au with its calculated powder XRD pattern. Radiation: Cu Kα X-rays. Structure: a DFT-relaxed cell (GGA-PBE, Alexandria).

Crystal structure
Unit cell a=14.958 b=14.958 c=14.958 alpha=164.26 beta=164.26 gamma=22.33
Fractional positions:
Th (0.000, 0.000, 0.000)
Si (0.379, 0.379, 0.000)
Si (0.621, 0.621, 0.000)
Pt (0.076, 0.576, 0.500)
Pt (0.304, 0.304, 0.000)
Pt (0.424, 0.924, 0.500)
Pt (0.500, 0.500, 0.000)
Pt (0.577, 0.077, 0.500)
Pt (0.696, 0.696, 0.000)
Pt (0.923, 0.423, 0.500)
Au (0.750, 0.250, 0.500)

The 10 most intense peaks (10° ≤ 2θ ≤ 90°), low angle first:
d [Å]	2theta	I/Imax
7.338	12.1	19
3.778	23.6	25
3.359	26.5	12
2.932	30.5	15
2.694	33.3	14
2.492	36.0	100
2.061	43.9	21
2.048	44.2	41
1.448	64.3	14
1.252	76.0	24

=====

This entry pairs a crystal structure of SmPt2Au2 with its calculated powder XRD pattern. Radiation: Cu Kα X-rays. Structure: a DFT-relaxed cell (GGA-PBE, Alexandria).

Crystal structure
Unit cell a=13.406 b=13.406 c=13.406 alpha=163.00 beta=163.00 gamma=24.13
Fractional positions:
Sm (0.122, 0.122, 0.000)
Sm (0.878, 0.878, 0.000)
Pt (0.250, 0.750, 0.500)
Pt (0.423, 0.423, 0.000)
Pt (0.577, 0.577, 0.000)
Pt (0.750, 0.250, 0.500)
Au (0.000, 0.500, 0.500)
Au (0.323, 0.323, 0.000)
Au (0.500, 0.000, 0.500)
Au (0.677, 0.677, 0.000)

The 10 most intense peaks (10° ≤ 2θ ≤ 90°), low angle first:
d [Å]	2theta	I/Imax
3.918	22.7	15
2.722	32.9	18
2.576	34.8	100
2.347	38.3	23
2.130	42.4	42
2.043	44.4	17
1.981	45.8	47
1.401	66.8	15
1.231	77.6	20
1.187	81.0	18

=====

Question: What is the formula in the second record?
Answer: TbSi2Pt7Au